Record 1
This entry pairs a crystal structure of SmGdInTc with its calculated PXRD pattern. Radiation: Cu Kα, 1.54184 Å. Structure: a crystal structure in Alexandria, relaxed with GGA-PBE.

Top 6 peaks for 2θ = 5–70°, in order of rising 2θ:
24.45 deg, intensity 3
34.85 deg, intensity 100
43.03 deg, intensity 1
50.11 deg, intensity 18
56.52 deg, intensity 2
62.48 deg, intensity 36

Structural model:
abc: 7.282 7.282 7.282
angles: 90.00 90.00 90.00
Space group F-43m (No. 216)
One atom of each set of equivalent atoms:
Sm 0.000 0.000 0.000 [4 per cell]
Gd 0.000 0.000 0.500 [4 per cell]
In 0.250 0.250 0.750 [4 per cell]
Tc 0.250 0.250 0.250 [4 per cell]

=====

Record 2
This entry pairs a crystal structure of GdTl2In with its calculated PXRD pattern. Radiation: Cu Kα, 1.54184 Å. Structure: a crystal structure in Alexandria, relaxed with GGA-PBE.

Top 10 peaks for 2θ = 5–70°, in order of rising 2θ:
18.80 deg, intensity 3
26.50 deg, intensity 3
32.69 deg, intensity 100
37.83 deg, intensity 34
38.13 deg, intensity 17
54.57 deg, intensity 12
54.80 deg, intensity 23
65.09 deg, intensity 28
65.50 deg, intensity 14
68.51 deg, intensity 12

Structural model:
abc: 4.757 4.757 4.720
angles: 90.00 90.00 90.00
Space group P4/mmm (No. 123)
One atom of each set of equivalent atoms:
Gd 0.000 0.000 0.000 [1 per cell]
Tl 0.000 0.500 0.500 [2 per cell]
In 0.500 0.500 0.000 [1 per cell]

=====

Record 3
This entry pairs a crystal structure of GdTlIn4 with its calculated PXRD pattern. Radiation: Cu Kα, 1.54184 Å. Structure: a crystal structure in Alexandria, relaxed with GGA-PBE.

Top 10 peaks for 2θ = 5–70°, in order of rising 2θ:
17.65 deg, intensity 1
20.41 deg, intensity 1
29.02 deg, intensity 41
34.16 deg, intensity 100
35.73 deg, intensity 28
41.50 deg, intensity 1
51.43 deg, intensity 17
54.80 deg, intensity 34
60.13 deg, intensity 28
68.13 deg, intensity 7

Structural model:
abc: 8.704 8.704 8.704
angles: 90.00 90.00 90.00
Space group F-43m (No. 216)
One atom of each set of equivalent atoms:
Gd 0.000 0.000 0.000 [4 per cell]
Tl 0.250 0.250 0.250 [4 per cell]
In 0.125 0.125 0.625 [16 per cell]

=====

Record 4
This entry pairs a crystal structure of LiGdMnIr with its calculated PXRD pattern. Radiation: Cu Kα, 1.54184 Å. Structure: a crystal structure in Alexandria, relaxed with GGA-PBE.

Top 6 peaks for 2θ = 5–70°, in order of rising 2θ:
23.30 deg, intensity 64
38.51 deg, intensity 100
45.50 deg, intensity 34
55.60 deg, intensity 17
61.09 deg, intensity 14
69.67 deg, intensity 35

Structural model:
abc: 6.612 6.612 6.612
angles: 90.00 90.00 90.00
Space group F-43m (No. 216)
One atom of each set of equivalent atoms:
Li 0.000 0.000 0.000 [4 per cell]
Gd 0.250 0.250 0.250 [4 per cell]
Mn 0.250 0.250 0.750 [4 per cell]
Ir 0.000 0.000 0.500 [4 per cell]

=====

Record 5
This entry pairs a crystal structure of TbGdIrPd with its calculated PXRD pattern. Radiation: Cu Kα, 1.54184 Å. Structure: a crystal structure in Alexandria, relaxed with GGA-PBE.

Top 6 peaks for 2θ = 5–70°, in order of rising 2θ:
22.08 deg, intensity 4
36.44 deg, intensity 100
43.01 deg, intensity 2
52.48 deg, intensity 18
57.61 deg, intensity 1
65.58 deg, intensity 36

Structural model:
abc: 6.974 6.974 6.974
angles: 90.00 90.00 90.00
Space group F-43m (No. 216)
One atom of each set of equivalent atoms:
Tb 0.000 0.000 0.000 [4 per cell]
Gd 0.000 0.000 0.500 [4 per cell]
Ir 0.250 0.250 0.750 [4 per cell]
Pd 0.250 0.250 0.250 [4 per cell]

=====

Record 6
This entry pairs a crystal structure of GdYIrPd with its calculated PXRD pattern. Radiation: Cu Kα, 1.54184 Å. Structure: a crystal structure in Alexandria, relaxed with GGA-PBE.

Top 7 peaks for 2θ = 5–70°, in order of rising 2θ:
22.09 deg, intensity 8
25.56 deg, intensity 1
36.46 deg, intensity 100
43.04 deg, intensity 5
52.52 deg, intensity 18
57.65 deg, intensity 2
65.62 deg, intensity 36

Structural model:
abc: 6.970 6.970 6.970
angles: 90.00 90.00 90.00
Space group F-43m (No. 216)
One atom of each set of equivalent atoms:
Gd 0.000 0.000 0.000 [4 per cell]
Y 0.000 0.000 0.500 [4 per cell]
Ir 0.250 0.250 0.250 [4 per cell]
Pd 0.250 0.250 0.750 [4 per cell]

=====

Record 7
This entry pairs a crystal structure of PrGdIrRu with its calculated PXRD pattern. Radiation: Cu Kα, 1.54184 Å. Structure: a crystal structure in Alexandria, relaxed with GGA-PBE.

Top 7 peaks for 2θ = 5–70°, in order of rising 2θ:
21.97 deg, intensity 5
36.26 deg, intensity 100
42.81 deg, intensity 3
52.22 deg, intensity 18
57.32 deg, intensity 1
65.24 deg, intensity 36
69.74 deg, intensity 1

Structural model:
abc: 7.006 7.006 7.006
angles: 90.00 90.00 90.00
Space group F-43m (No. 216)
One atom of each set of equivalent atoms:
Pr 0.000 0.000 0.000 [4 per cell]
Gd 0.000 0.000 0.500 [4 per cell]
Ir 0.250 0.250 0.750 [4 per cell]
Ru 0.250 0.250 0.250 [4 per cell]

=====

Record 8
This entry pairs a crystal structure of SrGdIr with its calculated PXRD pattern. Radiation: Cu Kα, 1.54184 Å. Structure: a crystal structure in Alexandria, relaxed with GGA-PBE.

Top 10 peaks for 2θ = 5–70°, in order of rising 2θ:
13.25 deg, intensity 72
24.56 deg, intensity 7
28.00 deg, intensity 100
36.57 deg, intensity 63
43.22 deg, intensity 40
45.41 deg, intensity 21
47.92 deg, intensity 31
52.29 deg, intensity 18
57.87 deg, intensity 17
66.50 deg, intensity 12

Structural model:
abc: 4.1861 4.1861 6.6844
angles: 90.00 90.00 120.00
Space group P3m1 (No. 156)
One atom of each set of equivalent atoms:
Sr 0.0000 0.0000 0.0000 [1 per cell]
Gd 0.6667 0.3333 0.5338 [1 per cell]
Ir 0.3333 0.6667 0.7280 [1 per cell]